Structure and calculated X-ray powder pattern of Ba2La2NiW2O12 (a structure optimized by DFT (PBE+U); Cu Kα (weighted mean of Kα1 and Kα2)).
Kinematic intensities with the Lorentz-polarization factor, no thermal factor.

Most intense lines, 2θ from 15° to 90°, by angle:
two_theta, d_spacing, I (rel.), h k l
18.19, 4.877, 13, 1 0 1
22.03, 4.035, 14, 1 0 4
28.79, 3.101, 100, 1 0 7
31.28, 2.860, 93, 1 1 0
43.03, 2.102, 49, 0 2 7
49.40, 1.845, 14, 0 1 14
54.15, 1.694, 36, 2 1 7
55.67, 1.651, 19, 3 0 0
65.25, 1.430, 17, 2 2 0
72.84, 1.298, 15, 1 3 7

Structural model:
```
data_Ba2La2NiW2O12
_chemical_formula_sum 'Ba6 La6 Ni3 W6 O36'
_cell_length_a 5.7196
_cell_length_b 5.7196
_cell_length_c 27.8320
_cell_angle_alpha 90.00
_cell_angle_beta 90.00
_cell_angle_gamma 120.00
_space_group_name_H-M_alt 'R -3 m'
_space_group_IT_number 166
_space_group_name_Hall '-R 3 2"'
loop_
_atom_site_label
_atom_site_fract_x
_atom_site_fract_y
_atom_site_fract_z
Ba1 0.0000 0.0000 0.1339
La1 0.0000 0.0000 0.2930
Ni1 0.0000 0.0000 0.0000
W1 0.0000 0.0000 0.4172
O1 0.9997 0.4999 0.1169
O2 0.0221 0.5111 0.2957
```